Structure and simulated powder X-ray diffraction pattern of NaVBi2O6 (a cell relaxed with PBE+U; Cu Kα X-rays).

Cell and atoms:
a = 5.438 Å, b = 6.085 Å, c = 9.613 Å
α = 90.00°, β = 122.95°, γ = 90.00°
Sites, in units of the cell vectors:
Na  0.000  0.000  0.000
Na  0.000  0.500  0.500
V  0.500  0.000  0.500
V  0.500  0.500  0.000
Bi  0.215  0.055  0.727
Bi  0.215  0.445  0.227
Bi  0.785  0.555  0.773
Bi  0.785  0.945  0.273
O  0.166  0.160  0.471
O  0.166  0.340  0.971
O  0.256  0.748  0.412
O  0.256  0.752  0.912
O  0.398  0.077  0.280
O  0.398  0.423  0.780
O  0.602  0.577  0.220
O  0.602  0.923  0.720
O  0.744  0.248  0.088
O  0.744  0.252  0.588
O  0.834  0.660  0.029
O  0.834  0.840  0.529

The 8 most intense peaks (2θ = 10–90°), in order of rising 2θ:
h k l	Position (°2θ)	I/Imax
1 1 -1	21.9	100
0 0 2	22.0	52
0 2 0	29.4	39
1 1 1	31.0	86
1 1 -3	31.6	87
2 0 -2	33.0	43
2 2 -2	44.7	32
0 0 4	45.0	28